Structure and calculated X-ray powder pattern of TaBr5 (a structure optimized by DFT (GGA-PBE); Cu Kα, 1.54184 Å).
Neutral-atom scattering factors, no anomalous dispersion.

Main lines, by angle (10 to 90 degrees two-theta):
- 2θ = 13.3°, rel. 100, hkl 3 1 0
- 2θ = 14.4°, rel. 27, hkl 1 1 -1
- 2θ = 14.5°, rel. 42, hkl 1 1 1
- 2θ = 15.4°, rel. 27, hkl 2 0 -1
- 2θ = 18.1°, rel. 32, hkl 0 4 0
- 2θ = 28.6°, rel. 24, hkl 6 0 1
- 2θ = 29.1°, rel. 61, hkl 3 5 -1
- 2θ = 29.3°, rel. 35, hkl 3 5 1
- 2θ = 37.1°, rel. 29, hkl 3 5 -2
- 2θ = 44.8°, rel. 32, hkl 9 5 0

Crystal structure
a b c (Å): 21.2460 19.5619 6.7920
angles (deg): 90.00 91.04 90.00
Space group C2/m (No. 12)
One atom of each set of equivalent atoms:
Ta1 0.0000 0.1082 0.0000
Ta2 0.1668 0.3918 0.4789
Br1 0.0479 0.0000 0.2082
Br2 0.0527 0.1856 0.2313
Br3 0.0720 0.4019 0.2596
Br4 0.0944 0.0978 0.7901
Br5 0.1143 0.3145 0.7056
Br6 0.1192 0.5000 0.6818
Br7 0.2142 0.5000 0.2754
Br8 0.2194 0.3144 0.2531
Br9 0.2383 0.0978 0.3025